For LaPrSbO, a cell relaxed with GGA-PBE gives the computed powder diffraction line list in this record (Cu Kα X-rays).
Kinematic intensities with the Lorentz-polarization factor, no thermal factor.

Structural model:
a b c (Å): 4.2327 4.2327 43.4020
angles (deg): 90.00 90.00 120.00
Space group R-3m (No. 166, hexagonal axes)
Unique sites:
La1 0.0000 0.0000 0.0000 x3
La2 0.0000 0.0000 0.5000 x3
Pr1 0.0000 0.0000 0.2413 x6
Sb1 0.0000 0.0000 0.3808 x6
O1 0.0000 0.0000 0.1888 x6

Main lines, most intense first (5° ≤ 2θ ≤ 70°):
- 2θ = 29.41°, rel. 100, (0 1 8)
- 2θ = 42.73°, rel. 47, (1 1 0)
- 2θ = 41.41°, rel. 35, (1 0 16)
- 2θ = 25.65°, rel. 26, (1 0 4)
- 2θ = 26.39°, rel. 24, (0 1 5)
- 2θ = 52.72°, rel. 20, (2 0 8)